Theoretical PXRD pattern of MgNp2In9 for Cu Kα X-rays, from a crystal structure in Alexandria, relaxed with GGA-PBE.
Intensities are scaled so that the largest is 100.

Principal peaks in the range 2θ = 10–80°, in order of falling intensity:
- 2θ = 33.49°, I 100.0
- 2θ = 38.79°, I 33.6
- 2θ = 66.86°, I 26.3
- 2θ = 56.19°, I 22.1
- 2θ = 39.01°, I 16.2
- 2θ = 67.17°, I 12.5

Structure:
a = 4.643 Å, b = 4.643 Å, c = 13.853 Å
α = 90.00°, β = 90.00°, γ = 90.00°
Atoms (fractional coordinates):
Mg (0.000, 0.000, 0.000)
Np (0.000, 0.000, 0.330)
Np (0.000, 0.000, 0.670)
In (0.000, 0.500, 0.162)
In (0.000, 0.500, 0.500)
In (0.000, 0.500, 0.838)
In (0.500, 0.000, 0.162)
In (0.500, 0.000, 0.500)
In (0.500, 0.000, 0.838)
In (0.500, 0.500, 0.000)
In (0.500, 0.500, 0.336)
In (0.500, 0.500, 0.664)